# PrHo3Sb4
Simulated X-ray powder pattern, a wavelength of 1.5418 Å. Input: the GGA-PBE geometry in Alexandria.
Kinematic intensities with the Lorentz-polarization factor, no thermal factor.

Cell and atoms:
```
8
Lattice="4.4159 -6.2467 0.0000 4.4159 6.2467 0.0000 0.0000 0.0000 4.4206" Properties=species:S:1:pos:R:3 pbc="T T T"
Pr 0.0000 0.0000 0.0000
Ho 2.2080 3.1234 2.2103
Ho 2.2080 -3.1234 2.2103
Ho 4.4159 0.0000 0.0000
Sb 4.4159 3.0728 0.0000
Sb 2.2799 0.0000 2.2103
Sb 6.5519 0.0000 2.2103
Sb 4.4159 -3.0728 0.0000
```

The 12 most intense peaks (10 to 90 degrees two-theta), sorted by position:
2theta  intensity
24.68  3.2
28.57  100.0
40.85  76.1
48.31  1.8
50.61  27.2
59.15  12.7
65.08  0.8
66.98  34.7
74.38  25.6
79.76  0.6
88.52  7.1
88.58  1.4